(1)
For Mg2Ru3, a crystal structure in Alexandria, relaxed with PBE gives the theoretical powder diffractogram in this record (Cu Ka).
No peak broadening, texture or thermal motion is included.

Largest 12 diffraction maxima, in order of falling intensity, 10° ≤ 2θ ≤ 90°:
2θ (°), d/Å, Rel. int.
20.59, 4.313, 1000
39.39, 2.288, 728
38.06, 2.364, 671
41.89, 2.156, 533
27.56, 3.236, 479
41.59, 2.171, 416
47.65, 1.908, 414
47.93, 1.898, 324
23.31, 3.816, 248
39.72, 2.269, 221
52.90, 1.731, 180
53.98, 1.699, 170

Structure:
```
10
Lattice="0.000 6.924 2.614 4.573 0.000 2.614 4.573 6.924 0.000" Properties=species:S:1:pos:R:3 pbc="T T T"
Mg 5.164 4.155 2.614
Mg 6.269 7.617 3.920
Mg 3.982 9.693 2.614
Mg 2.878 6.231 3.920
Ru 3.906 1.669 2.545
Ru 1.619 1.794 1.238
Ru 2.954 5.131 1.238
Ru 4.573 6.924 1.752
Ru 6.860 10.386 3.059
Ru 5.241 12.180 2.545
```

(2)
For MgRu3, a crystal structure in Alexandria, relaxed with PBE gives the theoretical powder diffractogram in this record (Cu Ka).
No peak broadening, texture or thermal motion is included.

Largest 12 diffraction maxima, in order of falling intensity, 10° ≤ 2θ ≤ 90°:
2θ (°), d/Å, Rel. int.
40.21, 2.243, 1000
46.71, 1.945, 646
40.53, 2.226, 495
40.10, 2.249, 487
47.08, 1.930, 304
19.12, 4.641, 261
82.06, 1.174, 228
68.79, 1.365, 196
68.19, 1.375, 184
19.74, 4.497, 163
25.06, 3.553, 133
82.31, 1.171, 120

Structure:
```
4
Lattice="4.567 -1.378 0.000 4.567 1.378 0.000 -0.819 0.000 4.641" Properties=species:S:1:pos:R:3 pbc="T T T"
Mg 0.000 0.000 0.000
Ru 1.579 0.000 3.429
Ru 4.157 0.000 2.321
Ru 6.736 0.000 1.212
```

(3)
For MgRu2, a crystal structure in Alexandria, relaxed with PBE gives the theoretical powder diffractogram in this record (Cu Ka).
No peak broadening, texture or thermal motion is included.

Largest 12 diffraction maxima, in order of falling intensity, 10° ≤ 2θ ≤ 90°:
2θ (°), d/Å, Rel. int.
42.55, 2.124, 1000
42.98, 2.105, 414
40.67, 2.218, 323
37.15, 2.420, 274
20.01, 4.437, 234
14.04, 6.310, 171
37.63, 2.391, 169
75.31, 1.262, 150
56.26, 1.635, 145
67.60, 1.386, 144
18.17, 4.882, 132
82.66, 1.167, 118

Structure:
```
6
Lattice="5.042 -1.403 0.000 5.042 1.403 0.000 -1.634 0.000 6.310" Properties=species:S:1:pos:R:3 pbc="T T T"
Mg 0.000 0.000 0.000
Mg 6.111 0.000 2.258
Ru 2.756 0.000 0.525
Ru 2.277 0.000 4.342
Ru 5.107 0.000 4.677
Ru 8.762 0.000 2.662
```

(4)
For MgSc5Ru, a crystal structure in Alexandria, relaxed with PBE gives the theoretical powder diffractogram in this record (Cu Ka).
No peak broadening, texture or thermal motion is included.

Largest 12 diffraction maxima, in order of falling intensity, 10° ≤ 2θ ≤ 90°:
2θ (°), d/Å, Rel. int.
35.10, 2.557, 1000
20.05, 4.429, 477
23.32, 3.815, 330
15.34, 5.776, 256
36.77, 2.444, 199
42.76, 2.115, 161
42.45, 2.129, 114
60.40, 1.533, 105
62.90, 1.477, 105
47.20, 1.925, 94
21.02, 4.226, 87
39.33, 2.291, 83

Structure:
```
14
Lattice="4.566 -4.420 0.000 4.566 4.420 0.000 -3.502 0.000 8.561" Properties=species:S:1:pos:R:3 pbc="T T T"
Mg 1.940 3.748 6.421
Mg 3.691 -3.748 2.140
Sc 2.486 2.172 2.918
Sc -1.078 0.531 8.518
Sc 0.673 -0.531 4.238
Sc 4.895 2.172 1.362
Sc 1.940 0.979 6.421
Sc 3.691 -0.979 2.140
Sc 0.735 -2.172 7.199
Sc 4.957 0.531 4.324
Sc 6.708 -0.531 0.043
Sc 3.144 -2.172 5.643
Ru 0.532 2.210 4.281
Ru 2.283 -2.210 0.000
```

(5)
For Mg4Sc5Ru, a crystal structure in Alexandria, relaxed with PBE gives the theoretical powder diffractogram in this record (Cu Ka).
No peak broadening, texture or thermal motion is included.

Largest 12 diffraction maxima, in order of falling intensity, 10° ≤ 2θ ≤ 90°:
2θ (°), d/Å, Rel. int.
35.38, 2.537, 1000
38.03, 2.366, 468
67.01, 1.397, 274
13.66, 6.484, 177
54.88, 1.673, 150
61.74, 1.503, 117
18.24, 4.863, 115
38.67, 2.328, 104
46.70, 1.945, 71
42.28, 2.138, 69
50.25, 1.816, 65
27.04, 3.298, 64

Structure:
```
10
Lattice="3.346 0.000 0.000 0.000 3.346 0.000 0.000 0.000 19.452" Properties=species:S:1:pos:R:3 pbc="T T T"
Mg 0.000 0.000 2.025
Mg 0.000 0.000 6.087
Mg 0.000 0.000 13.365
Mg 0.000 0.000 17.427
Sc 1.673 1.673 0.000
Sc 1.673 1.673 4.056
Sc 1.673 1.673 8.225
Sc 1.673 1.673 11.227
Sc 1.673 1.673 15.396
Ru 0.000 0.000 9.726
```

(6)
For MgSc3Ru4, a crystal structure in Alexandria, relaxed with PBE gives the theoretical powder diffractogram in this record (Cu Ka).
No peak broadening, texture or thermal motion is included.

Largest 11 diffraction maxima, in order of falling intensity, 10° ≤ 2θ ≤ 90°:
2θ (°), d/Å, Rel. int.
39.94, 2.257, 1000
27.95, 3.192, 257
72.48, 1.304, 240
57.76, 1.596, 162
72.69, 1.301, 79
49.41, 1.844, 55
86.05, 1.130, 51
86.28, 1.127, 50
65.30, 1.429, 48
65.43, 1.426, 48
49.57, 1.839, 18

Structure:
```
8
Lattice="2.260 1.305 7.356 -2.260 1.305 7.356 0.000 -2.609 7.356" Properties=species:S:1:pos:R:3 pbc="T T T"
Mg 0.000 0.000 0.000
Sc 0.000 0.000 5.562
Sc 0.000 0.000 11.034
Sc 0.000 0.000 16.506
Ru 0.000 0.000 2.754
Ru 0.000 0.000 8.286
Ru 0.000 0.000 13.782
Ru 0.000 0.000 19.314
```

(7)
For MgSc2Si2Ru5, a crystal structure in Alexandria, relaxed with PBE gives the theoretical powder diffractogram in this record (Cu Ka).
No peak broadening, texture or thermal motion is included.

Largest 12 diffraction maxima, in order of falling intensity, 10° ≤ 2θ ≤ 90°:
2θ (°), d/Å, Rel. int.
40.32, 2.237, 1000
38.10, 2.362, 810
43.55, 2.078, 499
27.40, 3.255, 400
68.10, 1.377, 310
33.17, 2.701, 301
41.49, 2.177, 278
47.58, 1.911, 272
34.40, 2.607, 267
74.89, 1.268, 224
20.40, 4.353, 209
56.54, 1.628, 203

Structure:
```
20
Lattice="9.734 0.000 0.000 0.000 9.734 0.000 0.000 0.000 3.255" Properties=species:S:1:pos:R:3 pbc="T T T"
Mg 0.000 0.000 0.000
Mg 4.867 4.867 0.000
Sc 1.660 3.207 0.000
Sc 3.207 8.074 0.000
Sc 6.527 1.660 0.000
Sc 8.074 6.527 0.000
Si 1.268 6.135 0.000
Si 3.599 1.268 0.000
Si 6.135 8.466 0.000
Si 8.466 3.599 0.000
Ru 0.000 4.867 1.628
Ru 0.691 7.718 1.628
Ru 2.016 0.691 1.628
Ru 2.851 5.558 1.628
Ru 4.176 2.851 1.628
Ru 4.867 0.000 1.628
Ru 5.558 6.883 1.628
Ru 6.883 4.176 1.628
Ru 7.718 9.043 1.628
Ru 9.043 2.016 1.628
```

(8)
For MgScSnRu, a crystal structure in Alexandria, relaxed with PBE gives the theoretical powder diffractogram in this record (Cu Ka).
No peak broadening, texture or thermal motion is included.

Largest 12 diffraction maxima, in order of falling intensity, 10° ≤ 2θ ≤ 90°:
2θ (°), d/Å, Rel. int.
38.46, 2.341, 1000
69.57, 1.351, 342
23.27, 3.822, 328
45.44, 1.996, 176
55.52, 1.655, 169
82.40, 1.170, 108
61.00, 1.519, 76
87.09, 1.119, 63
74.47, 1.274, 59
26.93, 3.310, 20
62.77, 1.480, 9
47.58, 1.911, 6

Structure:
```
4
Lattice="0.000 3.310 3.310 3.310 0.000 3.310 3.310 3.310 0.000" Properties=species:S:1:pos:R:3 pbc="T T T"
Mg 0.000 0.000 0.000
Sc 4.965 4.965 4.965
Sn 1.655 1.655 1.655
Ru 3.310 3.310 3.310
```

(9)
For MgSiRu, a crystal structure in Alexandria, relaxed with PBE gives the theoretical powder diffractogram in this record (Cu Ka).
No peak broadening, texture or thermal motion is included.

Largest 12 diffraction maxima, in order of falling intensity, 10° ≤ 2θ ≤ 90°:
2θ (°), d/Å, Rel. int.
22.67, 3.923, 1000
39.16, 2.301, 961
42.74, 2.116, 479
42.03, 2.150, 365
46.65, 1.947, 308
46.29, 1.961, 248
28.14, 3.171, 219
37.13, 2.421, 200
79.10, 1.211, 148
35.98, 2.496, 141
57.38, 1.606, 139
48.56, 1.875, 121

Structure:
```
6
Lattice="-2.496 2.840 3.171 2.496 -2.840 3.171 2.496 2.840 -3.171" Properties=species:S:1:pos:R:3 pbc="T T T"
Mg 2.496 1.420 -0.717
Mg 0.000 1.420 0.717
Si 1.248 4.000 0.000
Si 1.248 1.680 3.171
Ru 2.233 0.000 1.586
Ru 0.263 0.000 4.757
```

(10)
For MgU2Si2Ru5, a crystal structure in Alexandria, relaxed with PBE gives the theoretical powder diffractogram in this record (Cu Ka).
No peak broadening, texture or thermal motion is included.

Largest 12 diffraction maxima, in order of falling intensity, 10° ≤ 2θ ≤ 90°:
2θ (°), d/Å, Rel. int.
33.57, 2.669, 1000
37.41, 2.404, 987
39.41, 2.287, 862
38.53, 2.336, 368
68.35, 1.372, 345
42.58, 2.123, 329
32.30, 2.772, 278
17.90, 4.956, 275
20.03, 4.433, 265
37.17, 2.419, 218
66.57, 1.405, 214
54.93, 1.672, 208

Structure:
```
20
Lattice="9.912 0.000 0.000 0.000 9.912 0.000 0.000 0.000 3.343" Properties=species:S:1:pos:R:3 pbc="T T T"
Mg 0.000 0.000 0.000
Mg 4.956 4.956 0.000
U 1.745 3.211 0.000
U 3.211 8.167 0.000
U 6.701 1.745 0.000
U 8.167 6.701 0.000
Si 1.225 6.181 0.000
Si 3.731 1.225 0.000
Si 6.181 8.687 0.000
Si 8.687 3.731 0.000
Ru 0.000 4.956 1.672
Ru 0.733 7.800 1.672
Ru 2.112 0.733 1.672
Ru 2.844 5.689 1.672
Ru 4.223 2.844 1.672
Ru 4.956 0.000 1.672
Ru 5.689 7.068 1.672
Ru 7.068 4.223 1.672
Ru 7.800 9.179 1.672
Ru 9.179 2.112 1.672
```

(11)
For TbMg2Ru, a crystal structure in Alexandria, relaxed with PBE gives the theoretical powder diffractogram in this record (Cu Ka).
No peak broadening, texture or thermal motion is included.

Largest 12 diffraction maxima, in order of falling intensity, 10° ≤ 2θ ≤ 90°:
2θ (°), d/Å, Rel. int.
21.56, 4.122, 1000
36.91, 2.435, 993
31.79, 2.815, 397
22.81, 3.898, 384
48.72, 1.869, 383
38.82, 2.320, 380
40.38, 2.234, 331
35.98, 2.496, 311
29.62, 3.016, 274
51.56, 1.772, 258
30.49, 2.932, 258
38.57, 2.334, 251

Structure:
```
16
Lattice="7.706 0.000 0.000 0.000 8.245 0.000 0.000 0.000 5.402" Properties=species:S:1:pos:R:3 pbc="T T T"
Tb 0.260 2.061 0.505
Tb 3.593 6.184 3.206
Tb 4.113 2.061 2.197
Tb 7.446 6.184 4.898
Mg 1.303 0.473 3.251
Mg 1.303 3.649 3.251
Mg 2.551 4.596 0.550
Mg 2.551 7.772 0.550
Mg 5.156 0.473 4.853
Mg 5.156 3.649 4.853
Mg 6.404 4.596 2.151
Mg 6.404 7.772 2.151
Ru 0.980 6.184 2.132
Ru 2.873 2.061 4.834
Ru 4.833 6.184 0.569
Ru 6.726 2.061 3.270
```

(12)
For Tb5Mg2Ru2, a crystal structure in Alexandria, relaxed with PBE gives the theoretical powder diffractogram in this record (Cu Ka).
No peak broadening, texture or thermal motion is included.

Largest 12 diffraction maxima, in order of falling intensity, 10° ≤ 2θ ≤ 90°:
2θ (°), d/Å, Rel. int.
29.04, 3.075, 1000
36.96, 2.432, 586
35.74, 2.513, 561
25.23, 3.530, 473
34.82, 2.576, 438
29.45, 3.033, 412
16.90, 5.247, 406
34.17, 2.624, 380
31.56, 2.835, 302
40.79, 2.212, 273
50.36, 1.812, 258
43.82, 2.066, 206

Structure:
```
18
Lattice="-8.230 4.317 3.304 8.230 -4.317 3.304 8.230 4.317 -3.304" Properties=species:S:1:pos:R:3 pbc="T T T"
Tb 2.510 -0.897 1.398
Tb 5.720 -0.897 1.398
Tb 0.618 1.759 0.000
Tb 7.612 1.759 0.000
Tb 5.720 5.214 -1.906
Tb 10.741 0.897 1.398
Tb 4.115 2.531 0.465
Tb 4.115 1.786 3.769
Tb 0.618 2.558 3.304
Tb 7.612 2.558 3.304
Mg -1.738 3.982 1.238
Mg 1.738 -0.335 4.542
Mg 1.738 4.652 1.238
Mg 6.493 4.652 1.238
Ru 0.000 0.000 2.320
Ru 8.230 0.000 2.320
Ru -4.115 4.320 2.598
Ru 4.115 4.314 2.598
```

(13)
For Tb3MgRu, a crystal structure in Alexandria, relaxed with PBE gives the theoretical powder diffractogram in this record (Cu Ka).
No peak broadening, texture or thermal motion is included.

Largest 12 diffraction maxima, in order of falling intensity, 10° ≤ 2θ ≤ 90°:
2θ (°), d/Å, Rel. int.
30.79, 2.904, 1000
10.99, 8.048, 1000
39.77, 2.267, 996
34.54, 2.596, 942
32.24, 2.777, 907
34.68, 2.586, 698
35.21, 2.549, 676
27.06, 3.295, 607
56.28, 1.635, 543
28.58, 3.123, 390
17.91, 4.953, 354
38.15, 2.359, 303

Structure:
```
10
Lattice="0.000 4.953 8.048 3.295 0.000 8.048 3.295 4.953 0.000" Properties=species:S:1:pos:R:3 pbc="T T T"
Tb 3.295 3.032 6.245
Tb 3.295 4.953 3.271
Tb 3.295 3.032 9.851
Tb 3.295 6.873 6.245
Tb 3.295 4.953 12.825
Tb 3.295 6.873 9.851
Mg 5.222 4.953 8.048
Mg 1.367 4.953 8.048
Ru 1.647 2.476 4.024
Ru 4.942 7.429 12.072
```